Starting from a cell relaxed with GGA-PBE, the powder diffractogram of Er6Mg3Ni was computed for a wavelength of 1.5418 Å.
Intensities are scaled so that the largest is 100.

Atomic structure:
```
Er6Mg3Ni
1.0
9.314 0.000 0.000
0.000 11.168 0.000
0.000 0.000 5.102
Er Mg Ni
12 6 2
Direct
0.024 0.230 0.000
0.156 0.072 0.500
0.201 0.398 0.500
0.299 0.898 0.000
0.344 0.572 0.000
0.476 0.730 0.500
0.524 0.270 0.500
0.656 0.428 0.000
0.701 0.102 0.000
0.799 0.602 0.500
0.844 0.928 0.500
0.976 0.770 0.000
0.000 0.500 0.000
0.146 0.708 0.500
0.354 0.208 0.000
0.500 0.000 0.500
0.646 0.792 0.000
0.854 0.292 0.500
0.000 0.000 0.000
0.500 0.500 0.500
```

Principal peaks in the range 2θ from 10° to 80°, in order of rising 2θ:
- hkl 1 1 0, 12.4°, d = 7.153 Å, I = 26
- hkl 2 1 0, 20.7°, d = 4.298 Å, I = 29
- hkl 1 1 1, 21.4°, d = 4.154 Å, I = 28
- hkl 2 2 0, 24.9°, d = 3.576 Å, I = 26
- hkl 1 2 1, 25.5°, d = 3.492 Å, I = 45
- hkl 1 3 1, 31.3°, d = 2.862 Å, I = 95
- hkl 3 0 1, 33.8°, d = 2.652 Å, I = 100
- hkl 0 0 2, 35.2°, d = 2.551 Å, I = 55
- hkl 2 4 0, 37.6°, d = 2.395 Å, I = 27
- hkl 1 4 1, 38.0°, d = 2.369 Å, I = 33

---

Starting from a cell relaxed with GGA-PBE, the powder diffractogram of TaCrS4 was computed for a wavelength of 1.5418 Å.
Intensities are scaled so that the largest is 100.

Atomic structure:
```
TaCrS4
1.0
5.810 0.000 0.000
0.000 3.434 0.000
-2.191 0.000 6.541
Ta Cr S
1 1 4
Direct
0.000 0.000 0.000
0.500 0.500 0.000
0.257 0.500 0.224
0.261 0.000 0.785
0.739 0.000 0.215
0.743 0.500 0.776
```

Principal peaks in the range 2θ from 10° to 80°, in order of rising 2θ:
- hkl 0 0 1, 13.5°, d = 6.541 Å, I = 100
- hkl 1 0 0, 16.1°, d = 5.509 Å, I = 13
- hkl 1 0 -1, 17.4°, d = 5.084 Å, I = 12
- hkl 1 1 0, 30.7°, d = 2.914 Å, I = 22
- hkl 2 0 -2, 35.3°, d = 2.542 Å, I = 18
- hkl 1 1 1, 35.8°, d = 2.510 Å, I = 36
- hkl 1 1 2, 45.0°, d = 2.014 Å, I = 11
- hkl 1 1 -3, 47.7°, d = 1.906 Å, I = 15
- hkl 2 0 2, 49.6°, d = 1.839 Å, I = 9
- hkl 3 1 -1, 54.4°, d = 1.686 Å, I = 10